Theoretical X-ray powder pattern
Compound: MgMn6O4F8
Radiation: Cu Kα X-rays
Structure: a cell relaxed with PBE+U
No peak broadening, texture or thermal motion is included.

Cell and atoms:
a b c (Å): 5.757 5.762 8.209
angles (deg): 71.11 80.35 75.84
Positions (direct):
Mg: 0.000 0.000 0.000
Mn: 0.125 0.519 0.939
Mn: 0.245 0.309 0.597
Mn: 0.364 0.008 0.342
Mn: 0.518 0.988 0.972
Mn: 0.774 0.455 0.352
Mn: 0.825 0.927 0.597
O: 0.054 0.199 0.479
O: 0.227 0.137 0.090
O: 0.535 0.207 0.468
O: 0.821 0.856 0.863
F: 0.030 0.643 0.162
F: 0.159 0.702 0.515
F: 0.298 0.851 0.858
F: 0.441 0.327 0.776
F: 0.524 0.691 0.185
F: 0.664 0.728 0.481
F: 0.695 0.129 0.112
F: 0.983 0.335 0.795

Peak list (8 most intense, 2θ = 15–90°, in order of falling intensity)
Position (°2θ)  I (rel.)
20.6  100
32.1  85
29.3  85
20.2  59
33.2  44
23.0  44
34.5  43
35.7  34